1.
Calculated XRD peak list
Compound: Nd2GdCu4Pb4
Radiation: Cu Ka
Structure: a cell relaxed with GGA-PBE

Peak list (8 most intense, 10 to 90 degrees two-theta, low angle first)
25.91°, I = 23, hkl 1 0 3
27.89°, I = 24, hkl 0 2 2
31.94°, I = 26, hkl 0 1 5
32.38°, I = 100, hkl 1 2 1
32.87°, I = 88, hkl 1 1 4
38.61°, I = 47, hkl 2 0 0
43.77°, I = 39, hkl 1 2 5
44.80°, I = 19, hkl 1 3 2

Structural model:
a = 4.664 Å, b = 7.048 Å, c = 15.270 Å
α = 90.00°, β = 90.00°, γ = 90.00°
Space group Immm (No. 71)
Unique sites:
Nd 0.000 0.000 0.133 [4 per cell]
Gd 0.000 0.500 0.000 [2 per cell]
Cu 0.000 0.184 0.331 [8 per cell]
Pb 0.000 0.289 0.500 [4 per cell]
Pb 0.000 0.500 0.215 [4 per cell]

***

2.
Calculated XRD peak list
Compound: NdGdCu2Sn2
Radiation: Cu Ka
Structure: a cell relaxed with GGA-PBE

Peak list (8 most intense, 10 to 90 degrees two-theta, low angle first)
25.45°, I = 13, hkl 1 0 1
32.99°, I = 100, hkl 1 0 2
39.37°, I = 66, hkl 1 1 0
42.97°, I = 13, hkl 0 1 3
52.28°, I = 27, hkl 0 2 2
64.50°, I = 18, hkl 1 1 4
67.37°, I = 25, hkl 2 1 2
71.39°, I = 11, hkl 3 0 0

Structural model:
a = 4.5769 Å, b = 4.5769 Å, c = 7.4522 Å
α = 90.00°, β = 90.00°, γ = 120.00°
Space group P3m1 (No. 156)
Unique sites:
Nd 0.0000 0.0000 0.0000 [1 per cell]
Gd 0.0000 0.0000 0.4990 [1 per cell]
Cu 0.3333 0.6667 0.8063 [1 per cell]
Cu 0.6667 0.3333 0.3196 [1 per cell]
Sn 0.3333 0.6667 0.2362 [1 per cell]
Sn 0.6667 0.3333 0.7253 [1 per cell]

***

3.
Calculated XRD peak list
Compound: Gd2TlCuNi
Radiation: Cu Ka
Structure: a cell relaxed with GGA-PBE

Peak list (8 most intense, 10 to 90 degrees two-theta, low angle first)
28.45°, I = 49, hkl 0 1 3
33.23°, I = 100, hkl 1 1 1
35.07°, I = 67, hkl 1 0 4
38.12°, I = 37, hkl 0 1 5
43.52°, I = 25, hkl 0 2 0
49.92°, I = 17, hkl 2 0 0
56.02°, I = 17, hkl 1 1 7
57.07°, I = 33, hkl 1 2 4

Structural model:
a = 3.654 Å, b = 4.159 Å, c = 14.338 Å
α = 90.00°, β = 90.00°, γ = 90.00°
Space group Amm2 (No. 38)
Unique sites:
Gd 0.000 0.000 0.000 [2 per cell]
Gd 0.000 0.000 0.274 [2 per cell]
Tl 0.500 0.000 0.634 [2 per cell]
Cu 0.500 0.000 0.838 [2 per cell]
Ni 0.500 0.000 0.432 [2 per cell]

***

4.
Calculated XRD peak list
Compound: GdCuSi2Os
Radiation: Cu Ka
Structure: a cell relaxed with GGA-PBE

Peak list (8 most intense, 10 to 90 degrees two-theta, low angle first)
23.79°, I = 44, hkl 1 0 1
34.73°, I = 33, hkl 1 0 3
35.55°, I = 19, hkl 0 0 4
36.22°, I = 100, hkl 1 1 2
45.04°, I = 34, hkl 2 0 0
58.65°, I = 18, hkl 2 0 4
64.28°, I = 17, hkl 1 1 6
77.29°, I = 22, hkl 3 1 2

Structural model:
a = 4.026 Å, b = 4.026 Å, c = 10.101 Å
α = 90.00°, β = 90.00°, γ = 90.00°
Space group I-4m2 (No. 119)
Unique sites:
Gd 0.000 0.000 0.000 [2 per cell]
Cu 0.000 0.500 0.750 [2 per cell]
Si 0.000 0.000 0.380 [4 per cell]
Os 0.000 0.500 0.250 [2 per cell]

***

5.
Calculated XRD peak list
Compound: TbGdCu2P4
Radiation: Cu Ka
Structure: a cell relaxed with GGA-PBE

Peak list (8 most intense, 10 to 90 degrees two-theta, low angle first)
25.53°, I = 72, hkl 1 0 1
36.61°, I = 41, hkl 1 0 3
36.80°, I = 20, hkl 0 0 4
38.76°, I = 100, hkl 1 1 2
48.76°, I = 30, hkl 2 0 0
55.83°, I = 17, hkl 2 1 1
62.49°, I = 17, hkl 2 1 3
84.36°, I = 20, hkl 3 1 2

Structural model:
a = 3.735 Å, b = 3.735 Å, c = 9.769 Å
α = 90.00°, β = 90.00°, γ = 90.00°
Space group P4mm (No. 99)
Unique sites:
Tb 0.000 0.000 0.000 [1 per cell]
Gd 0.500 0.500 0.465 [1 per cell]
Cu 0.000 0.500 0.733 [2 per cell]
P 0.000 0.000 0.580 [1 per cell]
P 0.000 0.500 0.232 [2 per cell]
P 0.500 0.500 0.886 [1 per cell]

***

6.
Calculated XRD peak list
Compound: GdCuTe3Pb
Radiation: Cu Ka
Structure: a cell relaxed with GGA-PBE

Peak list (8 most intense, 10 to 90 degrees two-theta, low angle first)
27.54°, I = 53, hkl 1 0 5
28.66°, I = 98, hkl 2 1 1
30.04°, I = 100, hkl 2 1 2
30.36°, I = 69, hkl 1 1 4
34.16°, I = 60, hkl 1 1 5
36.57°, I = 37, hkl 3 1 1
40.23°, I = 64, hkl 0 2 0
60.80°, I = 40, hkl 3 2 6

Structural model:
a = 8.942 Å, b = 4.483 Å, c = 17.370 Å
α = 90.00°, β = 90.00°, γ = 90.00°
Space group Pnma (No. 62)
Unique sites:
Gd 0.242 0.250 0.038 [4 per cell]
Cu 0.129 0.750 0.870 [4 per cell]
Te 0.014 0.750 0.097 [4 per cell]
Te 0.114 0.250 0.439 [4 per cell]
Te 0.187 0.750 0.717 [4 per cell]
Pb 0.081 0.750 0.283 [4 per cell]

***

- Which formula does entry 1 have?
  Nd2GdCu4Pb4